1.
This entry pairs a crystal structure of NaMn2Se3 with its simulated XRD peak list. Radiation: Cu Kα X-rays. Structure: the GGA-PBE geometry in Alexandria.
Kinematic intensities with the Lorentz-polarization factor, no thermal factor.

Structure:
```
data_NaMn2Se3
_space_group_name_H-M_alt 'P 1 21/m 1'
_space_group_IT_number 11
_cell_length_a 7.3090
_cell_length_b 3.7623
_cell_length_c 11.1006
_cell_angle_alpha 90.00
_cell_angle_beta 105.26
_cell_angle_gamma 90.00
loop_
_space_group_symop_operation_xyz
'x,y,z'
'-x,-y,-z'
'-x,y+1/2,-z'
'x,-y+1/2,z'
loop_
_atom_site_label
_atom_site_fract_x
_atom_site_fract_y
_atom_site_fract_z
Na1 0.0352 0.2500 0.3252
Mn1 0.3227 0.2500 0.0435
Mn2 0.4979 0.7500 0.3773
Se1 0.2450 0.7500 0.1774
Se2 0.2762 0.7500 0.5311
Se3 0.3045 0.7500 0.8890
```

Principal peaks in the range 2θ from 5° to 70°, by angle:
2θ/deg, intensity, (hkl)
12.6, 79, 1 0 0
25.3, 50, 2 0 0
26.9, 90, 1 1 0
30.6, 53, 2 0 -3
34.6, 100, 1 1 -3
39.3, 45, 1 1 3
47.0, 57, 3 1 -3
48.4, 38, 0 2 0


2.
This entry pairs a crystal structure of NaMn2Sn3Se6 with its simulated XRD peak list. Radiation: Cu Kα X-rays. Structure: the GGA-PBE geometry in Alexandria.
Kinematic intensities with the Lorentz-polarization factor, no thermal factor.

Structure:
```
data_NaMn2Sn3Se6
_space_group_name_H-M_alt 'C 1 2/m 1'
_space_group_IT_number 12
_cell_length_a 17.7004
_cell_length_b 4.0707
_cell_length_c 8.2440
_cell_angle_alpha 90.00
_cell_angle_beta 102.50
_cell_angle_gamma 90.00
loop_
_space_group_symop_operation_xyz
'x,y,z'
'-x,-y,-z'
'-x,y,-z'
'x,-y,z'
'x+1/2,y+1/2,z'
'-x+1/2,-y+1/2,-z'
'-x+1/2,y+1/2,-z'
'x+1/2,-y+1/2,z'
loop_
_atom_site_label
_atom_site_fract_x
_atom_site_fract_y
_atom_site_fract_z
Na1 0.0000 0.0000 0.0000
Mn1 0.1683 0.5000 0.3353
Sn1 0.0000 0.0000 0.5000
Sn2 0.1645 0.5000 0.8340
Se1 0.0196 0.5000 0.2610
Se2 0.1732 0.0000 0.1156
Se3 0.1745 0.0000 0.5709
```

Principal peaks in the range 2θ from 5° to 70°, by angle:
2θ/deg, intensity, (hkl)
30.9, 100, 1 1 -2
31.1, 45, 6 0 0
34.0, 11, 5 1 -1
43.9, 17, 2 0 -4
44.1, 33, 5 1 2
44.5, 19, 0 2 0
44.6, 32, 7 1 -2
55.3, 25, 6 2 0